# Dy5Y
Simulated powder diffractogram, a wavelength of 1.5418 Å. Input: a PBE-relaxed structure.
Peak positions follow from Bragg's law for the DFT cell and can differ from measured ones.

Peak list (12 most intense, 2θ = 10–90°, by angle)
two_theta  Rel. int.
13.2  1.1
16.7  0.7
19.6  0.8
22.1  0.6
30.9  100.0
35.8  50.5
51.5  35.9
61.3  42.5
64.3  12.2
75.9  5.7
84.1  17.6
86.9  16.5

Atomic structure:
Cell: 6.143 6.143 7.093 Å, 106.75 106.75 48.16°
Fractional positions:
Dy (0.000, 0.000, 0.000)
Dy (0.333, 0.333, 0.166)
Dy (0.333, 0.333, 0.667)
Dy (0.667, 0.667, 0.333)
Dy (0.667, 0.667, 0.834)
Y (0.000, 0.000, 0.500)

---

# Li3Ho2UTe6
Simulated powder diffractogram, a wavelength of 1.5418 Å. Input: a PBE-relaxed structure.
Peak positions follow from Bragg's law for the DFT cell and can differ from measured ones.

Peak list (12 most intense, 2θ = 10–90°, by angle)
two_theta  Rel. int.
12.5  34.2
24.1  27.9
29.1  100.0
31.8  16.3
38.1  9.9
41.6  75.8
43.6  10.0
51.6  27.0
57.7  8.9
60.4  12.6
68.4  34.6
76.0  25.6

Atomic structure:
Cell: 7.513 7.513 7.510 Å, 99.59 99.59 120.00°
Fractional positions:
Li (0.000, 0.000, 0.000)
Li (0.334, 0.666, 0.000)
Li (0.666, 0.334, 0.000)
Ho (0.167, 0.833, 0.500)
Ho (0.833, 0.167, 0.500)
U (0.500, 0.500, 0.500)
Te (0.076, 0.414, 0.243)
Te (0.248, 0.248, 0.757)
Te (0.414, 0.076, 0.243)
Te (0.586, 0.924, 0.757)
Te (0.752, 0.752, 0.243)
Te (0.924, 0.586, 0.757)

---

# RbNi2C
Simulated powder diffractogram, a wavelength of 1.5418 Å. Input: a PBE-relaxed structure.
Peak positions follow from Bragg's law for the DFT cell and can differ from measured ones.

Peak list (12 most intense, 2θ = 10–90°, by angle)
two_theta  Rel. int.
29.7  26.6
30.2  50.7
35.1  100.0
36.0  46.7
37.0  51.9
53.0  19.0
56.3  24.9
56.9  12.0
58.1  11.3
61.7  16.2
62.8  30.5
74.2  11.7

Atomic structure:
Cell: 5.918 5.918 5.918 Å, 118.93 118.93 91.86°
Fractional positions:
Rb (0.375, 0.625, 0.750)
Rb (0.625, 0.375, 0.250)
Ni (0.000, 0.000, 0.000)
Ni (0.000, 0.000, 0.500)
Ni (0.000, 0.500, 0.000)
Ni (0.500, 0.000, 0.500)
C (0.125, 0.875, 0.250)
C (0.875, 0.125, 0.750)

---

# Li3SbP2O8
Simulated powder diffractogram, a wavelength of 1.5418 Å. Input: a PBE-relaxed structure.
Peak positions follow from Bragg's law for the DFT cell and can differ from measured ones.

Peak list (12 most intense, 2θ = 10–90°, by angle)
two_theta  Rel. int.
15.6  100.0
18.8  35.6
21.4  21.4
23.8  28.4
24.4  36.2
25.1  16.8
26.0  56.8
29.2  16.3
33.5  35.7
36.3  16.6
37.7  20.2
40.5  16.9

Atomic structure:
Cell: 4.749 6.849 10.300 Å, 90.00 95.35 90.00°
Fractional positions:
Li (0.000, 0.000, 0.000)
Li (0.000, 0.500, 0.000)
Li (0.017, 0.250, 0.261)
Li (0.500, 0.000, 0.500)
Li (0.500, 0.500, 0.500)
Li (0.983, 0.750, 0.739)
Sb (0.457, 0.750, 0.217)
Sb (0.543, 0.250, 0.783)
P (0.098, 0.250, 0.576)
P (0.420, 0.250, 0.084)
P (0.580, 0.750, 0.916)
P (0.902, 0.750, 0.424)
O (0.207, 0.250, 0.441)
O (0.226, 0.750, 0.427)
O (0.241, 0.073, 0.659)
O (0.241, 0.427, 0.659)
O (0.259, 0.750, 0.917)
O (0.267, 0.250, 0.938)
O (0.296, 0.069, 0.149)
O (0.296, 0.431, 0.149)
O (0.704, 0.569, 0.851)
O (0.704, 0.931, 0.851)
O (0.733, 0.750, 0.062)
O (0.741, 0.250, 0.083)
O (0.759, 0.573, 0.341)
O (0.759, 0.927, 0.341)
O (0.774, 0.250, 0.573)
O (0.793, 0.750, 0.559)

---

# AgSe3I
Simulated powder diffractogram, a wavelength of 1.5418 Å. Input: a PBE-relaxed structure.
Peak positions follow from Bragg's law for the DFT cell and can differ from measured ones.

Peak list (12 most intense, 2θ = 10–90°, by angle)
two_theta  Rel. int.
11.8  34.2
21.2  70.0
27.1  93.5
27.9  70.2
31.4  100.0
32.3  49.7
37.3  26.9
37.6  30.0
44.0  48.6
48.4  24.7
50.8  30.4
54.1  30.0

Atomic structure:
Cell: 15.061 5.156 8.171 Å, 90.00 90.00 90.00°
Fractional positions:
Ag (0.250, 0.200, 0.250)
Ag (0.250, 0.800, 0.750)
Ag (0.750, 0.200, 0.250)
Ag (0.750, 0.800, 0.750)
Se (0.000, 0.106, 0.236)
Se (0.000, 0.894, 0.764)
Se (0.121, 0.110, 0.633)
Se (0.121, 0.890, 0.367)
Se (0.379, 0.110, 0.867)
Se (0.379, 0.890, 0.133)
Se (0.500, 0.106, 0.264)
Se (0.500, 0.894, 0.736)
Se (0.621, 0.110, 0.867)
Se (0.621, 0.890, 0.133)
Se (0.879, 0.110, 0.633)
Se (0.879, 0.890, 0.367)
I (0.166, 0.500, 0.000)
I (0.334, 0.500, 0.500)
I (0.666, 0.500, 0.500)
I (0.834, 0.500, 0.000)

---

# TmMg3
Simulated powder diffractogram, a wavelength of 1.5418 Å. Input: a PBE-relaxed structure.
Peak positions follow from Bragg's law for the DFT cell and can differ from measured ones.

Peak list (12 most intense, 2θ = 10–90°, by angle)
two_theta  Rel. int.
21.1  100.0
24.3  18.0
24.5  35.1
34.8  86.3
35.0  42.5
40.9  18.6
41.2  36.5
43.0  16.2
50.3  15.1
54.8  16.0
62.2  15.7
62.6  30.9

Atomic structure:
Cell: 5.161 5.161 5.161 Å, 120.35 120.35 89.40°
Fractional positions:
Tm (0.000, 0.000, 0.000)
Mg (0.250, 0.750, 0.500)
Mg (0.500, 0.500, 0.000)
Mg (0.750, 0.250, 0.500)

---

# SrCd2Au9
Simulated powder diffractogram, a wavelength of 1.5418 Å. Input: a PBE-relaxed structure.
Peak positions follow from Bragg's law for the DFT cell and can differ from measured ones.

Peak list (12 most intense, 2θ = 10–90°, by angle)
two_theta  Rel. int.
18.3  44.4
36.7  24.6
37.3  100.0
38.9  17.2
39.7  31.6
40.2  52.6
40.8  18.2
43.5  23.3
60.0  25.4
65.7  27.6
70.1  15.3
79.6  26.0

Atomic structure:
Cell: 9.659 9.659 9.659 Å, 34.21 34.21 34.21°
Fractional positions:
Sr (0.000, 0.000, 0.000)
Cd (0.146, 0.146, 0.146)
Cd (0.854, 0.854, 0.854)
Au (0.081, 0.589, 0.589)
Au (0.334, 0.334, 0.334)
Au (0.411, 0.411, 0.919)
Au (0.411, 0.919, 0.411)
Au (0.500, 0.500, 0.500)
Au (0.589, 0.081, 0.589)
Au (0.589, 0.589, 0.081)
Au (0.666, 0.666, 0.666)
Au (0.919, 0.411, 0.411)

---

# Sm2Dy3Ho3
Simulated powder diffractogram, a wavelength of 1.5418 Å. Input: a PBE-relaxed structure.
Peak positions follow from Bragg's law for the DFT cell and can differ from measured ones.

Peak list (12 most intense, 2θ = 10–90°, by angle)
two_theta  Rel. int.
29.9  44.9
31.1  34.7
32.9  100.0
37.4  24.9
49.4  11.2
51.2  26.1
56.5  21.5
61.1  30.5
62.2  16.1
79.7  8.0
84.6  13.8
87.0  11.7

Atomic structure:
Cell: 12.045 12.045 6.184 Å, 104.87 104.87 17.05°
Fractional positions:
Sm (0.250, 0.250, 0.250)
Sm (0.750, 0.750, 0.750)
Dy (0.000, 0.000, 0.000)
Dy (0.124, 0.124, 0.791)
Dy (0.876, 0.876, 0.209)
Ho (0.376, 0.376, 0.709)
Ho (0.500, 0.500, 0.500)
Ho (0.624, 0.624, 0.291)

---

# Tb2Pr6Dy3Ho
Simulated powder diffractogram, a wavelength of 1.5418 Å. Input: a PBE-relaxed structure.
Peak positions follow from Bragg's law for the DFT cell and can differ from measured ones.

Peak list (12 most intense, 2θ = 10–90°, by angle)
two_theta  Rel. int.
30.1  100.0
30.5  32.1
35.0  67.0
50.1  24.4
50.6  23.6
59.5  14.5
59.8  28.6
60.3  13.9
62.6  12.5
81.4  11.8
84.1  11.0
85.0  10.8

Atomic structure:
Cell: 6.310 6.310 11.900 Å, 95.06 95.06 120.00°
Fractional positions:
Tb (0.167, 0.833, 0.000)
Tb (0.833, 0.167, 0.000)
Pr (0.083, 0.416, 0.750)
Pr (0.251, 0.251, 0.250)
Pr (0.416, 0.083, 0.750)
Pr (0.584, 0.917, 0.250)
Pr (0.749, 0.749, 0.750)
Pr (0.917, 0.584, 0.250)
Dy (0.000, 0.000, 0.500)
Dy (0.333, 0.667, 0.500)
Dy (0.667, 0.333, 0.500)
Ho (0.500, 0.500, 0.000)

---

# PmHoAu5
Simulated powder diffractogram, a wavelength of 1.5418 Å. Input: a PBE-relaxed structure.
Peak positions follow from Bragg's law for the DFT cell and can differ from measured ones.

Peak list (12 most intense, 2θ = 10–90°, by angle)
two_theta  Rel. int.
32.6  19.1
33.4  100.0
35.3  76.1
35.5  54.2
36.3  87.7
37.2  41.4
38.3  22.9
39.3  34.0
40.8  37.2
42.2  53.9
57.2  19.5
58.7  20.0

Atomic structure:
Cell: 5.327 5.327 11.466 Å, 100.34 100.34 102.35°
Fractional positions:
Pm (0.000, 0.500, 0.000)
Pm (0.500, 0.000, 0.500)
Ho (0.192, 0.808, 0.750)
Ho (0.808, 0.192, 0.250)
Au (0.072, 0.285, 0.538)
Au (0.171, 0.829, 0.250)
Au (0.285, 0.072, 0.038)
Au (0.386, 0.405, 0.346)
Au (0.405, 0.386, 0.846)
Au (0.595, 0.614, 0.154)
Au (0.614, 0.595, 0.654)
Au (0.715, 0.928, 0.962)
Au (0.829, 0.171, 0.750)
Au (0.928, 0.715, 0.462)